[1]
For Pm2UCo3, a crystal structure in Alexandria, relaxed with GGA-PBE gives the computed XRD peak list in this record (Cu Kα, 1.54184 Å).
Kinematic intensities with the Lorentz-polarization factor, no thermal factor.

Main lines, sorted by position (2θ from 5° to 70°):
| d/Å | I/Imax |
| --- | --- |
| 4.656 | 39 |
| 3.056 | 49 |
| 2.745 | 100 |
| 2.455 | 43 |
| 2.419 | 47 |
| 2.328 | 43 |
| 2.125 | 82 |
| 2.026 | 43 |

Structure:
Lattice parameters (Å, degrees): 5.120 11.193 4.052 90.00 90.00 90.00
Space group Pnnm (No. 58)
Inequivalent atoms, fractional coordinates:
Pm1 0.195 0.202 0.000 [4 per cell]
U1 0.000 0.500 0.000 [2 per cell]
Co1 0.000 0.000 0.500 [2 per cell]
Co2 0.210 0.428 0.500 [4 per cell]



[2]
For Pm8YCo2, a crystal structure in Alexandria, relaxed with GGA-PBE gives the computed XRD peak list in this record (Cu Kα, 1.54184 Å).
Kinematic intensities with the Lorentz-polarization factor, no thermal factor.

Main lines, sorted by position (2θ from 5° to 70°):
| d/Å | I/Imax |
| --- | --- |
| 3.421 | 38 |
| 3.341 | 40 |
| 3.301 | 86 |
| 3.080 | 44 |
| 2.888 | 40 |
| 2.799 | 100 |
| 2.770 | 64 |
| 2.736 | 39 |

Structure:
Lattice parameters (Å, degrees): 12.353 8.277 7.317 90.00 110.76 90.00
Space group C2/m (No. 12)
Inequivalent atoms, fractional coordinates:
Pm1 0.111 0.197 0.320 [8 per cell]
Pm2 0.128 0.500 0.687 [4 per cell]
Pm3 0.178 0.000 0.825 [4 per cell]
Y1 0.000 0.500 0.000 [2 per cell]
Co1 0.190 0.500 0.390 [4 per cell]



[3]
For Pm2YCo, a crystal structure in Alexandria, relaxed with GGA-PBE gives the computed XRD peak list in this record (Cu Kα, 1.54184 Å).
Kinematic intensities with the Lorentz-polarization factor, no thermal factor.

Main lines, sorted by position (2θ from 5° to 70°):
| d/Å | I/Imax |
| --- | --- |
| 3.074 | 29 |
| 2.934 | 35 |
| 2.904 | 100 |
| 2.864 | 84 |
| 2.747 | 47 |
| 2.685 | 49 |
| 2.607 | 60 |
| 2.402 | 38 |

Structure:
Lattice parameters (Å, degrees): 7.059 9.834 6.259 90.00 90.00 90.00
Space group Pnma (No. 62)
Inequivalent atoms, fractional coordinates:
Pm1 0.175 0.070 0.175 [8 per cell]
Y1 0.042 0.250 0.651 [4 per cell]
Co1 0.116 0.750 0.943 [4 per cell]



[4]
For Pm12YCo6, a crystal structure in Alexandria, relaxed with GGA-PBE gives the computed XRD peak list in this record (Cu Kα, 1.54184 Å).
Kinematic intensities with the Lorentz-polarization factor, no thermal factor.

Main lines, sorted by position (2θ from 5° to 70°):
| d/Å | I/Imax |
| --- | --- |
| 3.170 | 50 |
| 2.894 | 49 |
| 2.679 | 100 |
| 2.506 | 17 |
| 1.966 | 27 |
| 1.719 | 37 |
| 1.626 | 38 |
| 1.418 | 18 |

Structure:
Lattice parameters (Å, degrees): 10.026 10.026 10.026 90.00 90.00 90.00
Space group Im-3 (No. 204)
Inequivalent atoms, fractional coordinates:
Pm1 0.000 0.195 0.310 [24 per cell]
Y1 0.000 0.000 0.000 [2 per cell]
Co1 0.000 0.389 0.500 [12 per cell]



[5]
For Pm6ZnCo3, a crystal structure in Alexandria, relaxed with GGA-PBE gives the computed XRD peak list in this record (Cu Kα, 1.54184 Å).
Kinematic intensities with the Lorentz-polarization factor, no thermal factor.

Main lines, sorted by position (2θ from 5° to 70°):
| d/Å | I/Imax |
| --- | --- |
| 3.287 | 90 |
| 3.266 | 59 |
| 2.868 | 39 |
| 2.832 | 100 |
| 2.814 | 83 |
| 2.547 | 62 |
| 2.483 | 53 |
| 1.904 | 46 |

Structure:
Lattice parameters (Å, degrees): 10.433 3.809 13.849 90.00 109.30 90.00
Space group P2_1/m (No. 11)
Inequivalent atoms, fractional coordinates:
Pm1 0.019 0.250 0.121 [2 per cell]
Pm2 0.047 0.750 0.397 [2 per cell]
Pm3 0.250 0.250 0.825 [2 per cell]
Pm4 0.317 0.250 0.587 [2 per cell]
Pm5 0.338 0.250 0.328 [2 per cell]
Pm6 0.345 0.750 0.078 [2 per cell]
Zn1 0.438 0.750 0.770 [2 per cell]
Co1 0.158 0.750 0.659 [2 per cell]
Co2 0.162 0.250 0.987 [2 per cell]
Co3 0.433 0.750 0.480 [2 per cell]



[6]
For PmZnCo2, a crystal structure in Alexandria, relaxed with GGA-PBE gives the computed XRD peak list in this record (Cu Kα, 1.54184 Å).
Kinematic intensities with the Lorentz-polarization factor, no thermal factor.

Main lines, sorted by position (2θ from 5° to 70°):
| d/Å | I/Imax |
| --- | --- |
| 2.832 | 100 |
| 2.477 | 29 |
| 2.323 | 35 |
| 2.316 | 90 |
| 2.102 | 40 |
| 2.019 | 21 |
| 1.986 | 36 |
| 1.859 | 18 |

Structure:
Lattice parameters (Å, degrees): 4.955 3.972 6.968 90.00 90.00 90.00
Space group Pmma (No. 51)
Inequivalent atoms, fractional coordinates:
Pm1 0.250 0.000 0.190 [2 per cell]
Zn1 0.250 0.500 0.826 [2 per cell]
Co1 0.000 0.500 0.500 [2 per cell]
Co2 0.250 0.000 0.584 [2 per cell]



[7]
For Pm2ZnCo2, a crystal structure in Alexandria, relaxed with GGA-PBE gives the computed XRD peak list in this record (Cu Kα, 1.54184 Å).
Kinematic intensities with the Lorentz-polarization factor, no thermal factor.

Main lines, sorted by position (2θ from 5° to 70°):
| d/Å | I/Imax |
| --- | --- |
| 3.354 | 28 |
| 2.728 | 57 |
| 2.601 | 50 |
| 2.559 | 59 |
| 2.454 | 28 |
| 2.327 | 100 |
| 2.318 | 22 |
| 2.162 | 35 |

Structure:
Lattice parameters (Å, degrees): 9.588 5.449 7.716 90.00 104.76 90.00
Space group C2/c (No. 15)
Inequivalent atoms, fractional coordinates:
Pm1 0.145 0.154 0.145 [8 per cell]
Zn1 0.000 0.369 0.750 [4 per cell]
Co1 0.147 0.349 0.508 [8 per cell]



[8]
For PrCo6, a crystal structure in Alexandria, relaxed with GGA-PBE gives the computed XRD peak list in this record (Cu Kα, 1.54184 Å).
Kinematic intensities with the Lorentz-polarization factor, no thermal factor.

Main lines, sorted by position (2θ from 5° to 70°):
| d/Å | I/Imax |
| --- | --- |
| 4.295 | 1 |
| 3.037 | 44 |
| 2.480 | 100 |
| 1.754 | 8 |
| 1.623 | 52 |
| 1.519 | 19 |
| 1.358 | 14 |

Structure:
Lattice parameters (Å, degrees): 6.074 6.074 6.074 90.00 90.00 90.00
Space group Im-3m (No. 229)
Inequivalent atoms, fractional coordinates:
Pr1 0.000 0.000 0.000 [2 per cell]
Co1 0.000 0.250 0.500 [12 per cell]